Structure and calculated X-ray powder pattern of K3Nd3Br10 (a GGA-PBE-relaxed structure; Cu Kα (λ = 1.5418 Å)).
Lines closer than 0.1° are merged.

a b c (Å): 8.4940 13.3585 9.1885
angles (deg): 90.00 93.42 90.00
Space group P2_1 (No. 4)
One atom of each set of equivalent atoms:
K 0.1840 0.0000 0.2373 [2 per cell]
K 0.1967 0.9871 0.7375 [2 per cell]
K 0.2855 0.3310 0.2605 [2 per cell]
Nd 0.1917 0.6674 0.4912 [2 per cell]
Nd 0.3375 0.3503 0.7580 [2 per cell]
Nd 0.3487 0.6670 0.0191 [2 per cell]
Br 0.0903 0.4547 0.5307 [2 per cell]
Br 0.0973 0.7414 0.7813 [2 per cell]
Br 0.1020 0.7507 0.1973 [2 per cell]
Br 0.1457 0.4737 0.9776 [2 per cell]
Br 0.1787 0.1864 0.5387 [2 per cell]
Br 0.2969 0.1787 0.9717 [2 per cell]
Br 0.4160 0.8403 0.4742 [2 per cell]
Br 0.4177 0.5627 0.3031 [2 per cell]
Br 0.4227 0.8847 0.9935 [2 per cell]
Br 0.4398 0.5781 0.7221 [2 per cell]

Largest 6 diffraction maxima, low angle first, 2θ from 10° to 90°:
- (1 1 0), 12.36°, intensity 77
- (2 1 -2), 28.60°, intensity 63
- (1 4 0), 28.73°, intensity 68
- (2 1 2), 30.30°, intensity 100
- (0 4 2), 33.18°, intensity 79
- (0 0 4), 39.29°, intensity 51